For Sr6Ca2MnFe7O24, a structure optimized by DFT (PBE+U) gives the calculated powder diffractogram in this record (λ = 1.5418 Å (Cu Kα)).

Structural model:
```
data_Sr6Ca2MnFe7O24
_chemical_formula_sum 'Sr12 Ca4 Mn2 Fe14 O48'
_symmetry_space_group_name_H-M 'C m m 2'
_symmetry_Int_Tables_number 35
_cell_length_a 11.023
_cell_length_b 11.024
_cell_length_c 7.792
_cell_angle_alpha 90.00
_cell_angle_beta 90.00
_cell_angle_gamma 90.00
loop_
_symmetry_equiv_pos_as_xyz
'x,y,z'
'-x,-y,z'
'-x,y,z'
'x,-y,z'
'x+1/2,y+1/2,z'
'-x+1/2,-y+1/2,z'
'-x+1/2,y+1/2,z'
'x+1/2,-y+1/2,z'
loop_
_atom_site_label
_atom_site_type_symbol
_atom_site_fract_x
_atom_site_fract_y
_atom_site_fract_z
Sr1 Sr 0.000 0.250 0.000
Sr2 Sr 0.250 0.000 0.000
Sr3 Sr 0.250 0.000 0.501
Ca1 Ca 0.000 0.250 0.501
Mn1 Mn 0.000 0.000 0.750
Fe1 Fe 0.000 0.000 0.251
Fe2 Fe 0.000 0.500 0.251
Fe3 Fe 0.000 0.500 0.750
Fe4 Fe 0.250 0.250 0.251
Fe5 Fe 0.250 0.250 0.750
O1 O 0.000 0.000 0.502
O2 O 0.000 0.000 0.999
O3 O 0.000 0.500 0.000
O4 O 0.000 0.500 0.501
O5 O 0.124 0.125 0.748
O6 O 0.124 0.375 0.748
O7 O 0.125 0.126 0.252
O8 O 0.125 0.374 0.252
O9 O 0.250 0.250 0.001
O10 O 0.250 0.250 0.499
```

Largest 10 diffraction maxima, low angle first, 10° ≤ 2θ ≤ 80°:
- 11.36 deg, intensity 1, hkl 0 0 1
- 16.08 deg, intensity 1, hkl 2 0 0
- 19.73 deg, intensity 2, hkl 2 0 1
- 32.49 deg, intensity 100, hkl 4 0 0
- 38.30 deg, intensity 1, hkl 4 2 1
- 40.08 deg, intensity 12, hkl 4 0 2
- 46.61 deg, intensity 41, hkl 4 4 0
- 57.97 deg, intensity 37, hkl 6 2 2
- 68.05 deg, intensity 23, hkl 8 0 0
- 77.45 deg, intensity 16, hkl 8 4 0